This entry pairs a crystal structure of CrPdNO with its theoretical powder diffraction line list. Radiation: Cu Ka. Structure: a DFT-relaxed cell (GGA+U, Alexandria).
Lines closer than 0.1° are merged.

Top 10 peaks for 2θ from 15° to 90°, by angle:
2theta	I_rel
28.3	30
33.4	100
34.4	25
38.3	30
41.0	39
43.1	13
59.0	25
59.6	23
64.2	14
66.7	16

Cell and atoms:
abc: 3.131 3.131 6.557
angles: 103.86 103.86 60.04
Fractional positions:
Cr1 0.000 0.000 0.000
Pd1 0.806 0.806 0.417
N1 0.701 0.701 0.103
O1 0.912 0.912 0.733